Theoretical powder X-ray diffraction pattern of La3BeBiS7 for CuKα, from a PBE-relaxed structure.
No peak broadening, texture or thermal motion is included.

Structural model:
```
La3BeBiS7
1.0
10.2835 0.0000 0.0000
-5.1418 8.9058 0.0000
0.0000 0.0000 6.3952
La Be Bi S
6 2 2 14
Direct
0.1416 0.3995 0.0000
0.2579 0.8584 0.0000
0.3995 0.2579 0.5000
0.6005 0.7421 0.0000
0.7421 0.1416 0.5000
0.8584 0.6005 0.5000
0.3333 0.6667 0.4099
0.6667 0.3333 0.9099
0.0000 0.0000 0.2882
0.0000 0.0000 0.7882
0.0990 0.2563 0.5647
0.1159 0.5945 0.2789
0.1572 0.9010 0.5647
0.2563 0.1572 0.0647
0.3333 0.6667 0.7566
0.4055 0.5214 0.2789
0.4786 0.8841 0.2789
0.5214 0.1159 0.7789
0.5945 0.4786 0.7789
0.6667 0.3333 0.2566
0.7437 0.8428 0.5647
0.8428 0.0990 0.0647
0.8841 0.4055 0.7789
0.9010 0.7437 0.0647
```

Peak list (10 most intense, 10° ≤ 2θ ≤ 80°, in order of rising 2θ)
two_theta  Rel. int.
17.07  40
22.18  29
24.36  35
26.48  100
32.99  53
33.27  34
34.53  56
38.85  37
46.46  29
46.72  45

***

Theoretical powder X-ray diffraction pattern of Cs2HoVS4 for CuKα, from a PBE-relaxed structure.
No peak broadening, texture or thermal motion is included.

Structural model:
```
Cs2HoVS4
1.0
0.0000 7.3142 12.8431
3.1671 0.0000 12.8431
3.1671 7.3142 0.0000
Cs Ho V S
4 2 2 8
Direct
0.0539 0.0539 0.6961
0.3039 0.3039 0.9461
0.6961 0.6961 0.0539
0.9461 0.9461 0.3039
0.1250 0.1250 0.1250
0.8750 0.8750 0.8750
0.3750 0.3750 0.3750
0.6250 0.6250 0.6250
0.0146 0.6391 0.5469
0.2994 0.5469 0.6391
0.3609 0.9854 0.7006
0.4531 0.7006 0.9854
0.5469 0.2994 0.0146
0.6391 0.0146 0.2994
0.7006 0.4531 0.3609
0.9854 0.3609 0.4531
```

Peak list (10 most intense, 10° ≤ 2θ ≤ 80°, in order of rising 2θ)
two_theta  Rel. int.
13.79  43
15.63  44
23.28  42
24.09  100
24.34  36
28.91  67
30.76  52
35.25  44
43.30  40
47.02  40

***

Theoretical powder X-ray diffraction pattern of La4Tb4Mg for CuKα, from a PBE-relaxed structure.
No peak broadening, texture or thermal motion is included.

Structural model:
```
La4Tb4Mg
1.0
6.8139 0.0000 0.0000
1.9565 8.3789 0.0000
2.8373 -0.5909 10.5817
La Tb Mg
8 8 2
Direct
0.0452 0.1891 0.1670
0.2683 0.4636 0.6165
0.3957 0.8565 0.9370
0.4061 0.8585 0.6005
0.5939 0.1415 0.3995
0.6043 0.1435 0.0630
0.7317 0.5364 0.3835
0.9548 0.8109 0.8330
0.0393 0.1924 0.4937
0.0598 0.1950 0.8219
0.2738 0.4700 0.9577
0.2851 0.4848 0.2816
0.7149 0.5152 0.7184
0.7262 0.5300 0.0423
0.9402 0.8050 0.1781
0.9607 0.8076 0.5063
0.3864 0.8561 0.2687
0.6136 0.1439 0.7313
```

Peak list (10 most intense, 10° ≤ 2θ ≤ 80°, in order of rising 2θ)
two_theta  Rel. int.
28.04  28
28.31  18
30.96  46
32.08  100
32.24  63
32.44  30
42.22  13
49.45  13
49.88  12
55.73  14

***

Theoretical powder X-ray diffraction pattern of YTlTe4 for CuKα, from a PBE-relaxed structure.
No peak broadening, texture or thermal motion is included.

Structural model:
```
YTlTe4
1.0
6.8365 0.0000 0.0000
0.0000 6.8365 0.0000
0.0000 0.0000 8.7316
Y Tl Te
2 2 8
Direct
0.2500 0.2500 0.0000
0.7500 0.7500 0.0000
0.2500 0.2500 0.5000
0.7500 0.7500 0.5000
0.1033 0.6033 0.2127
0.1033 0.8967 0.7873
0.3967 0.6033 0.7873
0.3967 0.8967 0.2127
0.6033 0.1033 0.7873
0.6033 0.3967 0.2127
0.8967 0.1033 0.2127
0.8967 0.3967 0.7873
```

Peak list (10 most intense, 10° ≤ 2θ ≤ 80°, in order of rising 2θ)
two_theta  Rel. int.
21.01  21
27.53  100
30.72  17
30.99  99
33.29  50
41.78  52
42.90  25
57.95  27
60.25  22
61.32  23

***

Theoretical powder X-ray diffraction pattern of Mg2PdAu4 for CuKα, from a PBE-relaxed structure.
No peak broadening, texture or thermal motion is included.

Structural model:
```
Mg2PdAu4
1.0
-2.8252 2.8252 4.1191
2.8252 -2.8252 4.1191
2.8252 2.8252 -4.1191
Mg Pd Au
2 1 4
Direct
0.0000 0.5000 0.5000
0.5000 0.0000 0.5000
0.0000 0.0000 0.0000
0.0000 0.0000 0.5000
0.0000 0.5000 0.0000
0.5000 0.0000 0.0000
0.5000 0.5000 0.5000
```

Peak list (10 most intense, 10° ≤ 2θ ≤ 80°, in order of rising 2θ)
two_theta  Rel. int.
21.57  47
31.67  37
38.65  100
43.96  17
45.40  32
50.80  21
55.19  16
65.04  22
77.26  14
79.32  25

***

Question: What is the formula in the second record?
Answer: Cs2HoVS4